Starting from a GGA-PBE-relaxed structure, the powder diffractogram of PmTh5Sb8 was computed for a wavelength of 1.5418 Å.

Structural model:
```
PmTh5Sb8
1.0
-4.7171 4.7171 4.7302
4.7171 -4.7171 4.7302
4.7171 4.7171 -4.7302
Pm Th Sb
1 5 8
direct
0.0000 0.0000 0.0000
0.2476 0.1228 0.6253
0.3777 0.7524 0.8752
0.4975 0.6223 0.3747
0.7500 0.2500 0.5000
0.8772 0.5025 0.1248
0.1234 0.3741 0.4088
0.1261 0.3784 0.9100
0.2854 0.8766 0.2506
0.4683 0.2160 0.0900
0.6216 0.5317 0.7477
0.6259 0.0348 0.7494
0.7840 0.8739 0.2523
0.9652 0.7146 0.5912
```

Top 6 peaks for 15° ≤ 2θ ≤ 90°, in order of rising 2θ:
| 2θ (°) | intensity |
| --- | --- |
| 23.07 | 26 |
| 29.92 | 100 |
| 35.57 | 75 |
| 42.83 | 25 |
| 45.03 | 17 |
| 60.48 | 22 |